1.
Diffraction record for Hf2Ni3Pt3. The X-ray diffraction stick pattern is simulated, not measured: it uses a PBE-relaxed structure and Cu Kα X-rays.
Neutral-atom scattering factors, no anomalous dispersion.

Structure:
```
Hf2Ni3Pt3
1.0
3.885 0.000 0.000
0.000 3.940 0.000
0.000 0.000 7.740
Hf Ni Pt
2 3 3
Direct
0.000 0.000 0.244
0.000 0.000 0.756
0.500 0.000 0.000
0.500 0.500 0.246
0.500 0.500 0.754
0.000 0.500 0.000
0.000 0.500 0.500
0.500 0.000 0.500
```

Main lines, in order of rising 2θ (10° ≤ 2θ ≤ 90°):
3.883 Å, 2θ = 22.90°, intensity 12; 2.251 Å, 2θ = 40.06°, intensity 100; 1.970 Å, 2θ = 46.08°, intensity 17; 1.943 Å, 2θ = 46.76°, intensity 16; 1.935 Å, 2θ = 46.96°, intensity 16; 1.184 Å, 2θ = 81.21°, intensity 13; 1.173 Å, 2θ = 82.21°, intensity 12; 1.169 Å, 2θ = 82.51°, intensity 12

***

2.
Diffraction record for PuHfNi10. The X-ray diffraction stick pattern is simulated, not measured: it uses a PBE-relaxed structure and Cu Kα X-rays.
Neutral-atom scattering factors, no anomalous dispersion.

Structure:
```
PuHfNi10
1.0
3.954 0.000 0.000
0.000 4.795 0.000
0.000 0.000 8.340
Pu Hf Ni
1 1 10
Direct
0.000 0.000 0.000
0.000 0.500 0.500
0.000 0.000 0.339
0.000 0.000 0.661
0.000 0.500 0.174
0.000 0.500 0.826
0.500 0.000 0.500
0.500 0.254 0.257
0.500 0.254 0.743
0.500 0.500 0.000
0.500 0.746 0.257
0.500 0.746 0.743
```

Main lines, in order of rising 2θ (10° ≤ 2θ ≤ 90°):
2.866 Å, 2θ = 31.21°, intensity 100; 2.405 Å, 2θ = 37.39°, intensity 36; 2.078 Å, 2θ = 43.55°, intensity 36; 2.055 Å, 2θ = 44.07°, intensity 99; 2.050 Å, 2θ = 44.18°, intensity 49; 1.977 Å, 2θ = 45.91°, intensity 38; 1.526 Å, 2θ = 60.67°, intensity 26; 1.308 Å, 2θ = 72.25°, intensity 22

***

3.
Diffraction record for Hf4ReNi. The X-ray diffraction stick pattern is simulated, not measured: it uses a PBE-relaxed structure and Cu Kα X-rays.
Neutral-atom scattering factors, no anomalous dispersion.

Structure:
```
Hf4ReNi
1.0
10.622 0.000 0.000
0.000 4.607 0.000
-0.007 0.000 4.592
Hf Re Ni
8 2 2
Direct
0.150 0.000 0.000
0.152 0.500 0.499
0.348 0.000 0.501
0.350 0.500 0.000
0.650 0.500 0.000
0.652 0.000 0.499
0.848 0.500 0.501
0.850 0.000 0.000
0.000 0.000 0.500
0.500 0.500 0.500
0.000 0.500 0.000
0.500 0.000 0.000
```

Main lines, in order of rising 2θ (10° ≤ 2θ ≤ 90°):
2.395 Å, 2θ = 37.55°, intensity 100; 2.304 Å, 2θ = 39.10°, intensity 24; 2.296 Å, 2θ = 39.24°, intensity 24; 1.770 Å, 2θ = 51.63°, intensity 8; 1.626 Å, 2θ = 56.59°, intensity 17; 1.403 Å, 2θ = 66.64°, intensity 12; 1.347 Å, 2θ = 69.83°, intensity 16; 1.344 Å, 2θ = 70.01°, intensity 16

***

4.
Diffraction record for Hf6Ni5Ru. The X-ray diffraction stick pattern is simulated, not measured: it uses a PBE-relaxed structure and Cu Kα X-rays.
Neutral-atom scattering factors, no anomalous dispersion.

Structure:
```
Hf6Ni5Ru
1.0
-2.252 3.171 6.840
2.252 -3.171 6.840
2.252 3.171 -6.840
Hf Ni Ru
6 5 1
Direct
0.081 0.331 0.749
0.248 0.000 0.248
0.418 0.669 0.749
0.582 0.331 0.251
0.752 0.000 0.752
0.919 0.669 0.251
0.000 0.500 0.500
0.160 0.160 0.000
0.340 0.840 0.500
0.660 0.160 0.500
0.840 0.840 0.000
0.500 0.500 0.000
```

Main lines, in order of rising 2θ (10° ≤ 2θ ≤ 90°):
3.205 Å, 2θ = 27.84°, intensity 18; 3.171 Å, 2θ = 28.14°, intensity 9; 2.280 Å, 2θ = 39.52°, intensity 20; 2.254 Å, 2θ = 40.00°, intensity 100; 1.602 Å, 2θ = 57.52°, intensity 14; 1.311 Å, 2θ = 72.01°, intensity 14; 1.301 Å, 2θ = 72.67°, intensity 20; 1.127 Å, 2θ = 86.33°, intensity 11

***

5.
Diffraction record for HfZnNiRu. The X-ray diffraction stick pattern is simulated, not measured: it uses a PBE-relaxed structure and Cu Kα X-rays.
Neutral-atom scattering factors, no anomalous dispersion.

Structure:
```
HfZnNiRu
1.0
3.388 0.000 0.000
0.000 4.114 0.000
0.000 0.000 4.210
Hf Zn Ni Ru
1 1 1 1
Direct
0.000 0.000 0.000
0.000 0.500 0.500
0.500 0.000 0.500
0.500 0.500 0.000
```

Main lines, in order of rising 2θ (10° ≤ 2θ ≤ 90°):
4.210 Å, 2θ = 21.10°, intensity 16; 2.221 Å, 2θ = 40.61°, intensity 100; 2.105 Å, 2θ = 42.96°, intensity 21; 2.057 Å, 2θ = 44.02°, intensity 20; 1.471 Å, 2θ = 63.20°, intensity 13; 1.237 Å, 2θ = 77.13°, intensity 15; 1.217 Å, 2θ = 78.62°, intensity 14; 1.111 Å, 2θ = 87.90°, intensity 11

***

6.
Diffraction record for Hf2Ni9Sb. The X-ray diffraction stick pattern is simulated, not measured: it uses a PBE-relaxed structure and Cu Kα X-rays.
Neutral-atom scattering factors, no anomalous dispersion.

Structure:
```
Hf2Ni9Sb
1.0
3.732 0.000 0.000
0.000 3.732 0.000
0.000 0.000 11.170
Hf Ni Sb
2 9 1
Direct
0.000 0.000 0.166
0.000 0.000 0.834
0.000 0.500 0.000
0.000 0.500 0.332
0.000 0.500 0.668
0.500 0.000 0.000
0.500 0.000 0.332
0.500 0.000 0.668
0.500 0.500 0.167
0.500 0.500 0.500
0.500 0.500 0.833
0.000 0.000 0.500
```

Main lines, in order of rising 2θ (10° ≤ 2θ ≤ 90°):
3.729 Å, 2θ = 23.86°, intensity 22; 2.637 Å, 2θ = 34.00°, intensity 18; 2.153 Å, 2θ = 41.97°, intensity 100; 1.866 Å, 2θ = 48.81°, intensity 32; 1.862 Å, 2θ = 48.92°, intensity 16; 1.318 Å, 2θ = 71.57°, intensity 29; 1.125 Å, 2θ = 86.52°, intensity 23; 1.123 Å, 2θ = 86.70°, intensity 12

***

7.
Diffraction record for HfScNi10. The X-ray diffraction stick pattern is simulated, not measured: it uses a PBE-relaxed structure and Cu Kα X-rays.
Neutral-atom scattering factors, no anomalous dispersion.

Structure:
```
HfScNi10
1.0
3.962 0.000 0.000
0.000 4.738 0.000
0.000 0.000 8.185
Hf Sc Ni
1 1 10
Direct
0.000 0.000 0.000
0.000 0.500 0.500
0.000 0.000 0.332
0.000 0.000 0.668
0.000 0.500 0.166
0.000 0.500 0.834
0.500 0.000 0.500
0.500 0.248 0.247
0.500 0.248 0.753
0.500 0.500 0.000
0.500 0.752 0.247
0.500 0.752 0.753
```

Main lines, in order of rising 2θ (10° ≤ 2θ ≤ 90°):
8.185 Å, 2θ = 10.81°, intensity 25; 2.848 Å, 2θ = 31.40°, intensity 35; 2.366 Å, 2θ = 38.03°, intensity 26; 2.049 Å, 2θ = 44.20°, intensity 32; 2.031 Å, 2θ = 44.61°, intensity 100; 1.981 Å, 2θ = 45.80°, intensity 31; 1.820 Å, 2θ = 50.12°, intensity 16; 1.424 Å, 2θ = 65.54°, intensity 19

***

8.
Diffraction record for HfSc4Ni5. The X-ray diffraction stick pattern is simulated, not measured: it uses a PBE-relaxed structure and Cu Kα X-rays.
Neutral-atom scattering factors, no anomalous dispersion.

Structure:
```
HfSc4Ni5
1.0
3.164 0.000 0.000
0.000 3.164 0.000
0.000 0.000 16.012
Hf Sc Ni
1 4 5
Direct
0.000 0.000 0.000
0.000 0.000 0.200
0.000 0.000 0.400
0.000 0.000 0.600
0.000 0.000 0.800
0.500 0.500 0.093
0.500 0.500 0.301
0.500 0.500 0.500
0.500 0.500 0.699
0.500 0.500 0.907
```

Main lines, in order of rising 2θ (10° ≤ 2θ ≤ 90°):
8.006 Å, 2θ = 11.05°, intensity 23; 5.337 Å, 2θ = 16.61°, intensity 10; 2.251 Å, 2θ = 40.06°, intensity 100; 2.237 Å, 2θ = 40.31°, intensity 49; 1.582 Å, 2θ = 58.32°, intensity 16; 1.302 Å, 2θ = 72.61°, intensity 16; 1.294 Å, 2θ = 73.11°, intensity 31; 1.125 Å, 2θ = 86.47°, intensity 9

***

9.
Diffraction record for Hf4Si6Ni5. The X-ray diffraction stick pattern is simulated, not measured: it uses a PBE-relaxed structure and Cu Kα X-rays.
Neutral-atom scattering factors, no anomalous dispersion.

Structure:
```
Hf4Si6Ni5
1.0
1.912 -8.621 0.000
1.912 8.621 0.000
0.000 0.000 13.688
Hf Si Ni
8 12 10
Direct
0.015 0.985 0.500
0.034 0.966 0.765
0.164 0.836 0.304
0.183 0.817 0.940
0.817 0.183 0.440
0.836 0.164 0.804
0.966 0.034 0.265
0.985 0.015 0.000
0.114 0.886 0.117
0.216 0.784 0.492
0.230 0.770 0.752
0.425 0.575 0.128
0.425 0.575 0.405
0.443 0.557 0.854
0.557 0.443 0.354
0.575 0.425 0.628
0.575 0.425 0.905
0.770 0.230 0.252
0.784 0.216 0.992
0.886 0.114 0.617
0.147 0.853 0.628
0.306 0.694 0.617
0.341 0.659 0.272
0.356 0.644 0.978
0.444 0.556 0.679
0.556 0.444 0.179
0.644 0.356 0.478
0.659 0.341 0.772
0.694 0.306 0.117
0.853 0.147 0.128
```

Main lines, in order of rising 2θ (10° ≤ 2θ ≤ 90°):
3.733 Å, 2θ = 23.84°, intensity 53; 2.889 Å, 2θ = 30.96°, intensity 84; 2.874 Å, 2θ = 31.12°, intensity 37; 2.561 Å, 2θ = 35.04°, intensity 37; 2.520 Å, 2θ = 35.63°, intensity 93; 2.331 Å, 2θ = 38.63°, intensity 40; 2.233 Å, 2θ = 40.39°, intensity 100; 1.912 Å, 2θ = 47.57°, intensity 52

***

10.
Diffraction record for Hf2Ni6Sn. The X-ray diffraction stick pattern is simulated, not measured: it uses a PBE-relaxed structure and Cu Kα X-rays.
Neutral-atom scattering factors, no anomalous dispersion.

Structure:
```
Hf2Ni6Sn
1.0
5.145 0.000 0.000
-2.573 4.456 0.000
0.000 0.000 5.649
Hf Ni Sn
2 6 1
Direct
0.333 0.667 0.313
0.667 0.333 0.687
0.179 0.358 0.839
0.179 0.821 0.839
0.358 0.179 0.161
0.642 0.821 0.839
0.821 0.179 0.161
0.821 0.642 0.161
0.000 0.000 0.500
```

Main lines, in order of rising 2θ (10° ≤ 2θ ≤ 90°):
3.498 Å, 2θ = 25.46°, intensity 36; 2.573 Å, 2θ = 34.88°, intensity 34; 2.386 Å, 2θ = 37.71°, intensity 75; 2.341 Å, 2θ = 38.45°, intensity 44; 2.073 Å, 2θ = 43.67°, intensity 100; 1.447 Å, 2θ = 64.41°, intensity 22; 1.286 Å, 2θ = 73.65°, intensity 21; 1.255 Å, 2θ = 75.78°, intensity 22

***

11.
Diffraction record for Hf2TaNi6. The X-ray diffraction stick pattern is simulated, not measured: it uses a PBE-relaxed structure and Cu Kα X-rays.
Neutral-atom scattering factors, no anomalous dispersion.

Structure:
```
Hf2TaNi6
1.0
5.168 0.000 0.000
-2.584 4.475 0.000
0.000 0.000 5.505
Hf Ta Ni
2 1 6
Direct
0.333 0.667 0.351
0.667 0.333 0.649
0.000 0.000 0.500
0.177 0.355 0.832
0.177 0.823 0.832
0.355 0.177 0.168
0.645 0.823 0.832
0.823 0.177 0.168
0.823 0.645 0.168
```

Main lines, in order of rising 2θ (10° ≤ 2θ ≤ 90°):
3.472 Å, 2θ = 25.65°, intensity 14; 2.584 Å, 2θ = 34.72°, intensity 26; 2.342 Å, 2θ = 38.44°, intensity 100; 2.073 Å, 2θ = 43.67°, intensity 53; 1.698 Å, 2θ = 54.01°, intensity 14; 1.441 Å, 2θ = 64.71°, intensity 28; 1.292 Å, 2θ = 73.27°, intensity 14; 1.244 Å, 2θ = 76.61°, intensity 15

***

12.
Diffraction record for HfTa2Ni6. The X-ray diffraction stick pattern is simulated, not measured: it uses a PBE-relaxed structure and Cu Kα X-rays.
Neutral-atom scattering factors, no anomalous dispersion.

Structure:
```
HfTa2Ni6
1.0
5.119 0.000 0.000
-2.560 4.434 0.000
0.000 0.000 5.439
Hf Ta Ni
1 2 6
Direct
0.000 0.000 0.000
0.333 0.667 0.139
0.667 0.333 0.861
0.180 0.360 0.665
0.180 0.820 0.665
0.360 0.180 0.335
0.640 0.820 0.665
0.820 0.180 0.335
0.820 0.640 0.335
```

Main lines, in order of rising 2θ (10° ≤ 2θ ≤ 90°):
5.439 Å, 2θ = 16.30°, intensity 13; 2.560 Å, 2θ = 35.06°, intensity 26; 2.317 Å, 2θ = 38.87°, intensity 100; 2.053 Å, 2θ = 44.12°, intensity 47; 1.678 Å, 2θ = 54.70°, intensity 14; 1.426 Å, 2θ = 65.43°, intensity 27; 1.280 Å, 2θ = 74.08°, intensity 13; 1.231 Å, 2θ = 77.58°, intensity 14